The following is a calculated powder XRD pattern of In3Sb4. It was derived from a structure optimized by DFT (GGA-PBE), using a wavelength of 1.5418 Å.
Peak positions follow from Bragg's law for the DFT cell and can differ from measured ones.

Cell and atoms:
a = 3.8759 Å, b = 3.8759 Å, c = 27.0489 Å
α = 90.00°, β = 90.00°, γ = 90.00°
Space group I4/mmm (No. 139)
One atom of each set of equivalent atoms:
In (0.0000, 0.0000, 0.0000) x2
In (0.0000, 0.0000, 0.2892) x4
Sb (0.0000, 0.0000, 0.1361) x4
Sb (0.0000, 0.0000, 0.4183) x4

Largest 6 diffraction maxima, in order of rising 2θ, 2θ = 5–70°:
- hkl 1 1 0, 2θ 32.7, 2.738 Å, I = 100
- hkl 2 0 0, 2θ 46.9, 1.938 Å, I = 13
- hkl 0 0 14, 2θ 47.0, 1.932 Å, I = 4
- hkl 2 1 7, 2θ 58.4, 1.581 Å, I = 33
- hkl 2 2 0, 2θ 68.5, 1.370 Å, I = 4
- hkl 2 0 14, 2θ 68.6, 1.368 Å, I = 5